Structure and computed powder diffractogram of NaZnAsO4 (the GGA-PBE geometry in OQMD; copper Kα).

Structure:
a b c (Å): 8.974 8.974 8.004
angles (deg): 90.00 90.00 120.00
Atoms (fractional coordinates):
Na  0.000  0.000  0.000
Na  0.000  0.000  0.500
Na  0.333  0.667  0.046
Na  0.333  0.667  0.462
Na  0.667  0.333  0.546
Na  0.667  0.333  0.962
Zn  0.015  0.674  0.172
Zn  0.326  0.341  0.172
Zn  0.341  0.015  0.672
Zn  0.659  0.985  0.172
Zn  0.674  0.659  0.672
Zn  0.985  0.326  0.672
As  0.029  0.690  0.774
As  0.310  0.339  0.774
As  0.339  0.029  0.274
As  0.661  0.971  0.774
As  0.690  0.661  0.274
As  0.971  0.310  0.274
O  0.095  0.214  0.270
O  0.103  0.529  0.257
O  0.119  0.905  0.270
O  0.143  0.746  0.957
O  0.183  0.772  0.619
O  0.214  0.119  0.770
O  0.228  0.412  0.619
O  0.254  0.397  0.957
O  0.397  0.143  0.457
O  0.412  0.183  0.119
O  0.426  0.897  0.257
O  0.471  0.574  0.257
O  0.529  0.426  0.757
O  0.574  0.103  0.757
O  0.588  0.817  0.619
O  0.603  0.857  0.957
O  0.746  0.603  0.457
O  0.772  0.588  0.119
O  0.786  0.881  0.270
O  0.817  0.228  0.119
O  0.857  0.254  0.457
O  0.881  0.095  0.770
O  0.897  0.471  0.757
O  0.905  0.786  0.770

Peak list (12 most intense, 2θ from 10° to 80°, in order of falling intensity)
- 2θ 34.62, d = 2.591 Å, I = 100, (3 0 0)
- 2θ 29.92, d = 2.987 Å, I = 89, (1 1 2)
- 2θ 22.21, d = 4.002 Å, I = 73, (0 0 2)
- 2θ 22.72, d = 3.914 Å, I = 67, (1 1 1)
- 2θ 39.29, d = 2.293 Å, I = 67, (1 1 3)
- 2θ 19.79, d = 4.487 Å, I = 67, (1 1 0)
- 2θ 41.52, d = 2.175 Å, I = 40, (3 0 2)
- 2θ 61.50, d = 1.508 Å, I = 33, (1 1 5)
- 2θ 65.18, d = 1.431 Å, I = 30, (4 1 3)
- 2θ 62.05, d = 1.496 Å, I = 29, (3 3 0)
- 2θ 53.35, d = 1.717 Å, I = 28, (2 2 3)
- 2θ 46.40, d = 1.957 Å, I = 28, (2 2 2)